# 1
Structure and theoretical powder XRD pattern of Li5CuP2O8 (a DFT-relaxed cell (GGA-PBE, the Materials Project); Cu Kα (weighted mean of Kα1 and Kα2)).

The 8 most intense peaks (10 to 90 degrees two-theta), low angle first:
2θ (°)	d/Å	I_rel
14.34	6.175	51
22.02	4.036	96
22.66	3.923	100
28.08	3.178	48
33.34	2.688	86
33.61	2.667	49
35.33	2.540	69
59.92	1.544	36

Atomic structure:
```
32
Lattice="6.1750 0.0000 0.0000 0.0000 5.0806 0.0000 -0.0990 0.0000 10.7509" Properties=species:S:1:pos:R:3 pbc="T T T"
Li 0.0000 0.2287 0.0000
Li -0.0495 4.8518 5.3755
Li 1.4512 0.2459 8.1927
Li 1.5007 4.8347 2.8172
Li 3.0047 2.2756 9.1480
Li 3.0542 2.8050 3.7725
Li 4.5980 2.2449 0.9640
Li 4.5486 2.8357 6.3395
Li 4.5656 0.2674 8.1853
Li 4.6151 4.8132 2.8098
Cu 1.5776 2.2927 1.0591
Cu 1.5281 2.7878 6.4345
P 3.0597 0.2883 5.5071
P 3.1092 4.7923 0.1317
P 6.1005 2.2697 3.6260
P 6.0510 2.8109 9.0014
O 1.1832 2.2580 8.3348
O 1.2326 2.8226 2.9594
O 1.8075 0.1469 0.8844
O 1.7580 4.9337 6.2599
O 3.0128 0.2638 9.4299
O 3.0623 4.8168 4.0545
O 3.1022 1.8518 5.4584
O 3.1517 3.2288 0.0830
O 4.3574 0.2260 0.9091
O 4.3079 4.8546 6.2846
O 4.8069 2.3028 8.2151
O 4.8564 2.7778 2.8397
O 5.9972 2.2540 10.4521
O 6.0467 2.8266 5.0766
O 6.1332 0.7105 3.6245
O 6.0837 4.3700 9.0000
```

# 2
Structure and theoretical powder XRD pattern of K3Nb7O19 (a DFT-relaxed cell (GGA-PBE, the Materials Project); Cu Kα (weighted mean of Kα1 and Kα2)).

The 8 most intense peaks (10 to 90 degrees two-theta), low angle first:
2θ (°)	d/Å	I_rel
14.32	6.187	88
15.96	5.555	70
24.12	3.689	42
27.31	3.266	100
27.65	3.226	43
28.34	3.150	44
28.83	3.096	64
45.27	2.003	54

Atomic structure:
```
58
Lattice="6.5670 0.0000 0.0000 -2.8753 9.6960 0.0000 -1.4279 -2.3457 14.1261" Properties=species:S:1:pos:R:3 pbc="T T T"
K -1.4669 2.1897 5.7119
K 0.6574 4.7614 1.8954
K 1.4254 -0.7825 10.0360
K 0.8385 8.1327 4.0901
K 1.6065 2.5889 12.2307
K 3.7308 5.1606 8.4142
Nb -2.3068 5.6193 4.4087
Nb -2.2435 4.9883 11.9767
Nb -1.3406 7.7283 1.1375
Nb 0.7075 -0.8127 6.5443
Nb 2.0508 1.1653 0.0739
Nb 1.5605 1.4370 3.4018
Nb 0.8124 2.5311 8.6302
Nb 1.4515 4.8192 5.4959
Nb 0.7034 5.9133 10.7243
Nb 0.2131 6.1850 14.0522
Nb 1.5563 8.1630 7.5817
Nb 3.6045 -0.3780 12.9886
Nb 4.5074 2.3620 2.1494
Nb 4.5707 1.7310 9.7174
O -2.2128 3.3878 11.0350
O -2.9757 7.9034 8.0074
O -0.3152 1.7924 2.6176
O -2.6782 4.1409 13.7616
O -1.6703 6.6848 2.6272
O -1.0823 -0.8176 13.5651
O -1.3101 2.8390 8.3262
O -2.1206 7.2582 5.3522
O 1.6300 -0.0482 1.7842
O 1.1029 0.2272 4.7511
O -0.0999 1.5466 10.2030
O -0.2929 5.1552 4.8169
O -1.9559 6.6428 13.4825
O 0.7366 0.9267 7.4972
O -1.2710 6.1302 10.6433
O 1.4930 3.0740 4.3180
O 0.6817 7.6076 1.3414
O -0.0792 4.8600 12.6252
O 2.5696 -1.1729 7.0630
O 1.1319 3.6751 7.0630
O 2.3431 2.4903 1.5009
O 1.5822 -0.2573 12.7847
O 0.7709 4.2763 9.8081
O 3.5348 1.2201 3.4828
O 1.5273 6.4236 6.6289
O 4.2197 0.7074 0.6436
O 2.5568 2.1951 9.3092
O 2.3637 5.8037 3.9231
O 1.1610 7.1231 9.3750
O 0.6339 7.3985 12.3419
O 4.3845 0.0921 8.7739
O 3.5740 4.5113 5.7999
O 3.3462 8.1679 0.5610
O 3.9341 0.6655 11.4989
O 4.9421 3.2094 0.3645
O 2.5791 5.5579 11.5085
O 5.2396 -0.5531 6.1186
O 4.4767 3.9625 3.0911
```

# 3
Structure and theoretical powder XRD pattern of Cs8Na4YHo3Cl24 (a DFT-relaxed cell (GGA-PBE, the Materials Project); Cu Kα (weighted mean of Kα1 and Kα2)).

The 8 most intense peaks (10 to 90 degrees two-theta), low angle first:
2θ (°)	d/Å	I_rel
14.07	6.295	29
23.07	3.855	100
28.36	3.147	31
32.86	2.726	67
40.54	2.225	46
47.16	1.927	46
53.13	1.724	22
63.90	1.457	25

Atomic structure:
```
40
Lattice="3.8547 2.2255 25.1778 -3.8547 2.2255 25.1778 0.0000 -4.4510 25.1778" Properties=species:S:1:pos:R:3 pbc="T T T"
Cs 0.0000 0.0000 4.7218
Cs 0.0000 0.0000 14.1624
Cs 0.0000 0.0000 23.6031
Cs 0.0000 0.0000 33.0458
Cs 0.0000 0.0000 42.4878
Cs 0.0000 0.0000 51.9304
Cs 0.0000 0.0000 61.3711
Cs 0.0000 0.0000 70.8117
Na 0.0000 0.0000 9.4417
Na 0.0000 0.0000 28.3259
Na 0.0000 0.0000 47.2076
Na 0.0000 0.0000 66.0918
Y 0.0000 0.0000 0.0000
Ho 0.0000 0.0000 18.8832
Ho 0.0000 0.0000 37.7668
Ho 0.0000 0.0000 56.6503
Cl -1.9948 -1.1517 29.9538
Cl 0.0000 -2.1480 17.3647
Cl -1.8602 1.0740 17.3647
Cl 0.0000 -2.2884 26.7071
Cl -1.9818 1.1442 26.7071
Cl -1.8601 -1.0740 39.2855
Cl -1.9818 -1.1442 48.8264
Cl 0.0000 -2.1479 36.2480
Cl -1.8602 1.0740 36.2480
Cl 0.0000 -2.3033 45.5797
Cl -1.9948 1.1517 45.5797
Cl -1.8602 -1.0740 58.1689
Cl 1.8603 1.0740 17.3646
Cl 1.9948 -1.1517 29.9538
Cl 0.0000 2.3033 29.9538
Cl 1.8601 -1.0740 39.2855
Cl 0.0000 2.1479 39.2855
Cl 1.9818 1.1442 26.7070
Cl 1.8601 1.0740 36.2480
Cl 1.9818 -1.1442 48.8265
Cl 0.0000 2.2884 48.8265
Cl 1.8602 -1.0740 58.1689
Cl 0.0000 2.1480 58.1689
Cl 1.9948 1.1517 45.5797
```